No. 1
Fe4O5F3: calculated powder diffractogram (Cu Kα, 1.54184 Å), based on a cell relaxed with GGA+U.
Peak positions follow from Bragg's law for the DFT cell and can differ from measured ones.

Main lines, in order of rising 2θ (2θ = 10–80°):
- 25.3°, intensity 100.0
- 27.9°, intensity 89.1
- 35.1°, intensity 46.9
- 35.2°, intensity 46.0
- 51.1°, intensity 30.6
- 51.4°, intensity 30.6
- 54.2°, intensity 24.8
- 54.2°, intensity 24.7
- 66.7°, intensity 19.8
- 66.9°, intensity 19.4

Cell and atoms:
a b c (Å): 7.689 7.689 7.048
angles (deg): 117.01 117.01 49.14
Sites, in units of the cell vectors:
1 Fe 0.000 0.000 0.000
2 Fe 0.123 0.123 0.658
3 Fe 0.242 0.242 0.231
4 Fe 0.374 0.374 0.871
5 Fe 0.500 0.500 0.500
6 Fe 0.626 0.626 0.129
7 Fe 0.758 0.758 0.769
8 Fe 0.877 0.877 0.342
9 O 0.056 0.446 0.757
10 O 0.120 0.120 0.936
11 O 0.199 0.801 0.500
12 O 0.310 0.690 0.000
13 O 0.446 0.056 0.757
14 O 0.554 0.944 0.243
15 O 0.690 0.310 0.000
16 O 0.801 0.199 0.500
17 O 0.880 0.880 0.064
18 O 0.944 0.554 0.243
19 F 0.126 0.126 0.322
20 F 0.372 0.372 0.560
21 F 0.376 0.376 0.184
22 F 0.624 0.624 0.816
23 F 0.628 0.628 0.440
24 F 0.874 0.874 0.678

No. 2
NaCo3O4: calculated powder diffractogram (Cu Kα, 1.54184 Å), based on a cell relaxed with GGA+U.
Peak positions follow from Bragg's law for the DFT cell and can differ from measured ones.

Main lines, in order of rising 2θ (2θ = 10–80°):
- 21.1°, intensity 21.6
- 30.7°, intensity 54.4
- 31.3°, intensity 33.0
- 33.4°, intensity 62.9
- 35.1°, intensity 100.0
- 35.6°, intensity 40.7
- 46.0°, intensity 22.3
- 55.3°, intensity 35.1
- 60.8°, intensity 35.3
- 66.2°, intensity 27.8

Cell and atoms:
a b c (Å): 6.764 5.719 5.361
angles (deg): 90.00 90.00 90.00
Sites, in units of the cell vectors:
1 Na 0.000 0.166 0.000
2 Na 0.500 0.834 0.500
3 Co 0.000 0.817 0.509
4 Co 0.246 0.332 0.504
5 Co 0.254 0.668 0.004
6 Co 0.500 0.183 0.009
7 Co 0.746 0.668 0.004
8 Co 0.754 0.332 0.504
9 O 0.000 0.145 0.446
10 O 0.000 0.784 0.861
11 O 0.216 0.654 0.371
12 O 0.284 0.346 0.871
13 O 0.500 0.216 0.361
14 O 0.500 0.855 0.946
15 O 0.716 0.346 0.871
16 O 0.784 0.654 0.371